(1)
For MgTe4Mo3WSe2S2, DFT lattice parameters and positions (GGA-PBE) gives the theoretical PXRD pattern in this record (λ = 1.5418 Å (Cu Kα)).
Intensities are scaled so that the largest is 100.

Atomic structure:
Unit cell a=5.884 b=3.396 c=45.620 alpha=90.00 beta=90.04 gamma=90.00
Space group Cm (No. 8)
Asymmetric unit:
Mg1 0.000 0.000 0.000 x2
Te1 0.168 0.500 0.848 x2
Te2 0.168 0.500 0.930 x2
Te3 0.334 0.000 0.418 x2
Te4 0.335 0.000 0.501 x2
Mo1 0.168 0.500 0.460 x2
Mo2 0.169 0.500 0.091 x2
Mo3 0.335 0.000 0.889 x2
W1 0.334 0.000 0.272 x2
Se1 0.168 0.500 0.235 x2
Se2 0.168 0.500 0.308 x2
S1 0.335 0.000 0.058 x2
S2 0.335 0.000 0.124 x2

Principal peaks in the range 2θ = 5–70°, by angle:
- 2θ = 5.81°, I 51, (0 0 3)
- 2θ = 9.69°, I 100, (0 0 5)
- 2θ = 11.64°, I 20, (0 0 6)
- 2θ = 30.41°, I 26, (2 0 0)
- 2θ = 31.96°, I 11, (1 1 -5)
- 2θ = 34.30°, I 30, (2 0 8)
- 2θ = 37.48°, I 11, (1 1 11)
- 2θ = 39.99°, I 42, (2 0 -13)
- 2θ = 41.35°, I 9, (2 0 14)
- 2θ = 53.99°, I 16, (3 1 0)
- 2θ = 54.99°, I 8, (3 1 -5)
- 2θ = 69.26°, I 8, (2 2 -13)

***

(2)
For MgTe2Mo3WSe4S2, DFT lattice parameters and positions (GGA-PBE) gives the theoretical PXRD pattern in this record (λ = 1.5418 Å (Cu Kα)).
Intensities are scaled so that the largest is 100.

Atomic structure:
Unit cell a=5.780 b=3.337 c=38.121 alpha=90.00 beta=90.00 gamma=90.00
Space group Cm (No. 8)
Asymmetric unit:
Mg1 0.000 0.000 0.000 x2
Te1 0.327 0.000 0.178 x2
Te2 0.327 0.000 0.278 x2
Mo1 0.161 0.500 0.604 x2
Mo2 0.327 0.000 0.416 x2
Mo3 0.327 0.000 0.792 x2
W1 0.161 0.500 0.228 x2
Se1 0.161 0.500 0.372 x2
Se2 0.161 0.500 0.460 x2
Se3 0.161 0.500 0.748 x2
Se4 0.161 0.500 0.835 x2
S1 0.327 0.000 0.564 x2
S2 0.327 0.000 0.643 x2

Principal peaks in the range 2θ = 5–70°, by angle:
- 2θ = 6.96°, I 43, (0 0 3)
- 2θ = 11.61°, I 100, (0 0 5)
- 2θ = 30.96°, I 38, (2 0 0)
- 2θ = 33.15°, I 12, (2 0 5)
- 2θ = 34.08°, I 12, (1 1 6)
- 2θ = 36.36°, I 80, (2 0 8)
- 2θ = 37.70°, I 11, (0 0 16)
- 2θ = 39.12°, I 18, (1 1 10)
- 2θ = 43.99°, I 46, (2 0 13)
- 2θ = 45.79°, I 14, (1 1 -14)
- 2θ = 55.05°, I 29, (3 1 0)
- 2θ = 67.77°, I 13, (2 2 8)